Diffraction record for Rb3CeP2Se8. The powder X-ray diffraction pattern is simulated, not measured: it uses a cell relaxed with GGA-PBE and λ = 1.5418 Å (Cu Kα).
Intensities are scaled so that the largest is 100.

Structural model:
a b c (Å): 9.6882 18.3976 10.2444
angles (deg): 90.00 90.85 90.00
Fractional positions:
Rb 0.0978 0.2106 0.1408
Rb 0.0978 0.2894 0.6408
Rb 0.2371 0.0353 0.5169
Rb 0.2371 0.4647 0.0169
Rb 0.3901 0.7059 0.8672
Rb 0.3901 0.7941 0.3672
Rb 0.6099 0.2059 0.6328
Rb 0.6099 0.2941 0.1328
Rb 0.7629 0.5353 0.9831
Rb 0.7629 0.9647 0.4831
Rb 0.9022 0.7106 0.3592
Rb 0.9022 0.7894 0.8592
Ce 0.2734 0.5132 0.4739
Ce 0.2734 0.9868 0.9739
Ce 0.7266 0.0132 0.0261
Ce 0.7266 0.4868 0.5261
P 0.0272 0.5975 0.7217
P 0.0272 0.9025 0.2217
P 0.4981 0.1028 0.2393
P 0.4981 0.3972 0.7393
P 0.5019 0.6028 0.2607
P 0.5019 0.8972 0.7607
P 0.9728 0.0975 0.7783
P 0.9728 0.4025 0.2783
Se 0.0400 0.0218 0.1750
Se 0.0400 0.4782 0.6750
Se 0.0733 0.6247 0.9262
Se 0.0733 0.8753 0.4262
Se 0.1739 0.6539 0.5899
Se 0.1739 0.8461 0.0899
Se 0.1897 0.1276 0.8357
Se 0.1897 0.3724 0.3357
Se 0.2754 0.6123 0.2312
Se 0.2754 0.8877 0.7312
Se 0.3836 0.1824 0.3552
Se 0.3836 0.3176 0.8552
Se 0.4440 0.5154 0.7502
Se 0.4440 0.9846 0.2502
Se 0.4681 0.1191 0.0228
Se 0.4681 0.3809 0.5228
Se 0.5319 0.6191 0.4772
Se 0.5319 0.8809 0.9772
Se 0.5560 0.0154 0.7498
Se 0.5560 0.4846 0.2498
Se 0.6164 0.6824 0.1448
Se 0.6164 0.8176 0.6448
Se 0.7246 0.1123 0.2688
Se 0.7246 0.3877 0.7688
Se 0.8103 0.6276 0.6643
Se 0.8103 0.8724 0.1643
Se 0.8261 0.1539 0.9101
Se 0.8261 0.3461 0.4101
Se 0.9267 0.1247 0.5738
Se 0.9267 0.3753 0.0738
Se 0.9600 0.5218 0.3250
Se 0.9600 0.9782 0.8250

The 10 most intense peaks (2θ = 10–90°), by angle:
- 25.5°, I 89
- 27.0°, I 97
- 27.3°, I 98
- 29.5°, I 46
- 31.5°, I 62
- 31.8°, I 82
- 32.2°, I 100
- 32.6°, I 42
- 36.4°, I 63
- 38.4°, I 43